Record 1
This entry pairs a crystal structure of LiGa2Ag2 with its theoretical PXRD pattern. Radiation: a wavelength of 1.5418 Å. Structure: a crystal structure in OQMD, relaxed with GGA-PBE.
No peak broadening, texture or thermal motion is included.

```
10
Lattice="0.0000 6.9963 2.4991 4.8136 0.0000 2.4991 4.8136 6.9963 0.0000" Properties=species:S:1:pos:R:3 pbc="T T T"
Li 0.0000 0.0000 0.0000
Li 2.4068 3.4982 1.2495
Ga 4.8911 5.5948 2.5259
Ga 4.7361 8.3979 2.5259
Ga 7.1428 9.0929 3.7755
Ga 7.2979 11.8961 3.7755
Ag 2.3560 0.8380 1.3015
Ag 4.7628 2.6602 2.5511
Ag 2.4575 6.1584 1.3015
Ag 4.8643 11.3325 2.5511
```

Principal peaks in the range 10 to 80 degrees two-theta, in order of rising 2θ:
Position (°2θ), I/Imax
22.42, 38
27.75, 41
37.36, 54
38.02, 100
40.68, 87
46.75, 54
61.31, 22
65.98, 22



Record 2
This entry pairs a crystal structure of Li4Ga3Ag with its theoretical PXRD pattern. Radiation: a wavelength of 1.5418 Å. Structure: a crystal structure in OQMD, relaxed with GGA-PBE.
No peak broadening, texture or thermal motion is included.

```
8
Lattice="4.3637 0.0000 0.0000 0.0000 4.3637 0.0000 0.0000 0.0000 6.3110" Properties=species:S:1:pos:R:3 pbc="T T T"
Li 0.0000 0.0000 0.0000
Li 0.0000 2.1818 4.7261
Li 2.1818 0.0000 1.5849
Li 2.1818 2.1818 3.1555
Ga 0.0000 0.0000 3.1555
Ga 0.0000 2.1818 1.5941
Ga 2.1818 0.0000 4.7168
Ag 2.1818 2.1818 0.0000
```

Principal peaks in the range 10 to 80 degrees two-theta, in order of rising 2θ:
Position (°2θ), I/Imax
24.81, 100
40.91, 66
41.38, 32
48.01, 16
48.85, 31
65.21, 12
74.17, 11
75.14, 21



Record 3
This entry pairs a crystal structure of Li4MgGa2Ag with its theoretical PXRD pattern. Radiation: a wavelength of 1.5418 Å. Structure: a crystal structure in OQMD, relaxed with GGA-PBE.
No peak broadening, texture or thermal motion is included.

```
8
Lattice="4.4882 0.0000 0.0000 0.0000 4.4882 0.0000 0.0000 0.0000 6.3826" Properties=species:S:1:pos:R:3 pbc="T T T"
Li 0.0000 0.0000 0.0000
Li 0.0000 2.2441 4.6646
Li 2.2441 0.0000 1.7180
Li 2.2441 2.2441 3.1913
Mg 2.2441 2.2441 0.0000
Ga 0.0000 2.2441 1.6577
Ga 2.2441 0.0000 4.7249
Ag 0.0000 0.0000 3.1913
```

Principal peaks in the range 10 to 80 degrees two-theta, in order of rising 2θ:
Position (°2θ), I/Imax
13.87, 24
19.78, 17
24.24, 100
40.07, 70
40.18, 35
47.28, 16
47.48, 32
72.95, 22



Record 4
This entry pairs a crystal structure of Lu2GaAg with its theoretical PXRD pattern. Radiation: a wavelength of 1.5418 Å. Structure: a crystal structure in OQMD, relaxed with GGA-PBE.
No peak broadening, texture or thermal motion is included.

```
16
Lattice="7.0962 0.0000 0.0000 0.0000 7.0962 0.0000 0.0000 0.0000 7.0962" Properties=species:S:1:pos:R:3 pbc="T T T"
Lu 0.0000 0.0000 0.0000
Lu 0.0000 3.5481 3.5481
Lu 1.7741 1.7741 1.7741
Lu 1.7741 5.3222 5.3222
Lu 3.5481 0.0000 3.5481
Lu 3.5481 3.5481 0.0000
Lu 5.3222 1.7741 5.3222
Lu 5.3222 5.3222 1.7741
Ga 0.0000 0.0000 3.5481
Ga 0.0000 3.5481 0.0000
Ga 3.5481 0.0000 0.0000
Ga 3.5481 3.5481 3.5481
Ag 1.7741 1.7741 5.3222
Ag 1.7741 5.3222 1.7741
Ag 5.3222 1.7741 1.7741
Ag 5.3222 5.3222 5.3222
```

Principal peaks in the range 10 to 80 degrees two-theta, in order of rising 2θ:
Position (°2θ), I/Imax
21.69, 11
35.79, 100
42.24, 6
51.51, 18
56.53, 3
64.31, 36
75.84, 11
79.99, 2



Record 5
This entry pairs a crystal structure of Mg5GaAg4 with its theoretical PXRD pattern. Radiation: a wavelength of 1.5418 Å. Structure: a crystal structure in OQMD, relaxed with GGA-PBE.
No peak broadening, texture or thermal motion is included.

```
10
Lattice="3.3736 0.0000 0.0000 0.0000 3.3736 0.0000 0.0000 0.0000 16.4066" Properties=species:S:1:pos:R:3 pbc="T T T"
Mg 0.0000 0.0000 0.0000
Mg 0.0000 0.0000 3.2793
Mg 0.0000 0.0000 6.5444
Mg 0.0000 0.0000 9.8622
Mg 0.0000 0.0000 13.1273
Ga 1.6868 1.6868 8.2033
Ag 1.6868 1.6868 1.6451
Ag 1.6868 1.6868 4.9219
Ag 1.6868 1.6868 11.4847
Ag 1.6868 1.6868 14.7615
```

Principal peaks in the range 10 to 80 degrees two-theta, in order of rising 2θ:
Position (°2θ), I/Imax
26.42, 49
27.18, 23
37.71, 52
38.26, 100
47.10, 20
54.39, 17
68.44, 33
69.54, 16



Record 6
This entry pairs a crystal structure of Ga40AgMo8 with its theoretical PXRD pattern. Radiation: a wavelength of 1.5418 Å. Structure: a crystal structure in OQMD, relaxed with GGA-PBE.
No peak broadening, texture or thermal motion is included.

```
49
Lattice="7.0463 4.0682 5.0678 -7.0463 4.0682 5.0678 0.0000 -8.1364 5.0678" Properties=species:S:1:pos:R:3 pbc="T T T"
Ga 0.0000 0.0000 0.0000
Ga -7.0463 0.0000 7.6017
Ga -3.5232 2.0341 2.5339
Ga -0.9660 -1.4053 2.4845
Ga -4.7261 -0.3238 6.0652
Ga -2.6013 -0.0270 4.3314
Ga -4.6190 2.4761 5.1280
Ga 0.1652 -5.2382 5.1280
Ga -0.7340 1.5393 2.4845
Ga -3.1468 -2.2426 7.5032
Ga -4.4539 -2.7622 10.0754
Ga -0.9370 -2.0086 5.9100
Ga 1.7001 -0.1340 2.4845
Ga -2.0827 -4.2549 9.1381
Ga 1.3240 -2.2393 4.3314
Ga -3.5156 1.6039 7.7002
Ga -1.2709 1.8158 5.9100
Ga 0.3687 -3.8465 7.7002
Ga 2.6435 -3.9311 6.0652
Ga -2.2080 -0.1928 9.2933
Ga 1.2772 2.2663 4.3314
Ga 3.5232 2.0341 2.5339
Ga -1.2773 -2.2663 10.8719
Ga 2.2080 0.1928 5.9100
Ga -2.6435 3.9311 9.1381
Ga -0.3687 3.8465 7.5032
Ga 1.2709 -1.8158 9.2933
Ga 3.5155 -1.6039 7.5032
Ga -1.3240 2.2393 10.8719
Ga 2.0827 4.2548 6.0652
Ga -1.7001 0.1340 12.7188
Ga 0.9371 2.0085 9.2933
Ga 4.4539 2.7622 5.1280
Ga 3.1468 2.2426 7.7002
Ga 0.7340 -1.5393 12.7188
Ga -0.1652 5.2383 10.0754
Ga 4.6190 -2.4761 10.0754
Ga 2.6013 0.0270 10.8719
Ga 4.7261 0.3238 9.1381
Ga 0.9661 1.4053 12.7188
Ag 0.0000 0.0000 7.6017
Mo -1.9328 -4.4004 6.5485
Mo -4.7772 -0.5263 8.6548
Mo 0.0000 0.0000 4.5268
Mo -2.8444 3.8740 6.5485
Mo 2.8444 -3.8740 8.6548
Mo 0.0000 0.0000 10.6765
Mo 4.7772 0.5263 6.5485
Mo 1.9328 4.4003 8.6548
```

Principal peaks in the range 10 to 80 degrees two-theta, in order of rising 2θ:
Position (°2θ), I/Imax
30.91, 54
38.17, 43
39.85, 46
39.99, 63
41.63, 41
41.98, 53
44.02, 100
44.54, 74



Record 7
This entry pairs a crystal structure of NaGaAg4 with its theoretical PXRD pattern. Radiation: a wavelength of 1.5418 Å. Structure: a crystal structure in OQMD, relaxed with GGA-PBE.
No peak broadening, texture or thermal motion is included.

```
6
Lattice="2.3727 1.3699 6.1555 -2.3727 1.3699 6.1555 0.0000 -2.7397 6.1555" Properties=species:S:1:pos:R:3 pbc="T T T"
Na 0.0000 0.0000 0.0000
Ga 0.0000 0.0000 9.2332
Ag 0.0000 0.0000 3.8561
Ag 0.0000 0.0000 6.7153
Ag 0.0000 0.0000 11.7511
Ag 0.0000 0.0000 14.6103
```

Principal peaks in the range 10 to 80 degrees two-theta, in order of rising 2θ:
Position (°2θ), I/Imax
22.16, 26
23.70, 19
32.60, 35
37.92, 100
40.64, 64
56.79, 23
68.49, 16
70.33, 23



Record 8
This entry pairs a crystal structure of NdGa2AgPt with its theoretical PXRD pattern. Radiation: a wavelength of 1.5418 Å. Structure: a crystal structure in OQMD, relaxed with GGA-PBE.
No peak broadening, texture or thermal motion is included.

```
10
Lattice="4.3560 0.0000 0.0000 0.0000 4.3560 0.0000 0.0000 0.0000 10.6750" Properties=species:S:1:pos:R:3 pbc="T T T"
Nd 1.0890 1.0890 2.5141
Nd 3.2670 3.2670 8.1609
Ga 1.0890 1.0890 6.8721
Ga 1.0890 3.2670 0.0000
Ga 3.2670 1.0890 0.0000
Ga 3.2670 3.2670 3.8029
Ag 1.0890 3.2670 5.3375
Ag 3.2670 1.0890 5.3375
Pt 1.0890 1.0890 9.3330
Pt 3.2670 3.2670 1.3420
```

Principal peaks in the range 10 to 80 degrees two-theta, in order of rising 2θ:
Position (°2θ), I/Imax
28.99, 30
32.49, 82
33.59, 100
41.46, 81
44.94, 35
47.42, 38
53.64, 40
60.07, 37



Record 9
This entry pairs a crystal structure of GaAgSO with its theoretical PXRD pattern. Radiation: a wavelength of 1.5418 Å. Structure: a crystal structure in OQMD, relaxed with GGA-PBE.
No peak broadening, texture or thermal motion is included.

```
8
Lattice="3.6242 0.0000 0.0000 0.0000 6.9402 0.0000 0.0000 0.0000 5.6242" Properties=species:S:1:pos:R:3 pbc="T T T"
Ga 0.0000 0.8895 0.0000
Ga 0.0000 6.0507 2.8121
Ag 1.8121 2.1993 3.0784
Ag 1.8121 4.7409 0.2663
S 1.8121 2.1837 0.5410
S 1.8121 4.7565 3.3532
O 0.0000 0.6915 3.7713
O 0.0000 6.2488 0.9592
```

Principal peaks in the range 10 to 80 degrees two-theta, in order of rising 2θ:
Position (°2θ), I/Imax
25.67, 28
27.77, 77
30.26, 63
31.82, 70
32.09, 100
42.73, 30
46.57, 45
57.51, 38



Record 10
This entry pairs a crystal structure of GaAgSO with its theoretical PXRD pattern. Radiation: a wavelength of 1.5418 Å. Structure: a crystal structure in OQMD, relaxed with GGA-PBE.
No peak broadening, texture or thermal motion is included.

```
16
Lattice="5.8531 0.0000 0.0000 0.0000 5.4075 0.0000 -1.5126 0.0000 9.2644" Properties=species:S:1:pos:R:3 pbc="T T T"
Ga -0.2520 0.0000 3.6558
Ga 1.6594 4.4981 5.5803
Ga 2.6811 1.7944 3.6841
Ga 4.5925 2.7037 5.6086
Ag -1.3305 4.2819 8.6190
Ag 2.7587 0.5617 0.5293
Ag 1.5818 3.2655 8.7351
Ag 5.6710 1.5782 0.6454
S -0.5602 2.1150 7.6185
S 1.9885 2.6011 1.7419
S 2.3520 5.3048 7.5224
S 4.9006 4.8187 1.6459
O -0.0819 4.0150 4.9728
O 1.5057 0.4508 4.2268
O 2.8348 3.1545 5.0375
O 4.4223 1.3113 4.2915
```

Principal peaks in the range 10 to 80 degrees two-theta, in order of rising 2θ:
Position (°2θ), I/Imax
19.00, 61
19.16, 85
23.50, 49
28.04, 100
30.96, 100
33.41, 92
38.67, 97
39.33, 46



Record 11
This entry pairs a crystal structure of GaAgSO with its theoretical PXRD pattern. Radiation: a wavelength of 1.5418 Å. Structure: a crystal structure in OQMD, relaxed with GGA-PBE.
No peak broadening, texture or thermal motion is included.

```
16
Lattice="7.2119 0.0000 0.0000 0.0000 7.0790 0.0000 -1.8277 0.0000 5.2105" Properties=species:S:1:pos:R:3 pbc="T T T"
Ga -0.4452 0.6777 1.3642
Ga -1.3590 2.8617 3.9694
Ga 6.7432 4.2172 1.2410
Ga 5.8294 6.4012 3.8463
Ag 2.9195 5.2197 1.7523
Ag 2.0057 5.3987 4.3575
Ag 3.3785 1.6802 0.8530
Ag 2.4646 1.8592 3.4582
S 0.8238 3.6098 3.2549
S 1.7377 7.0086 0.6497
S 3.6465 0.0703 4.5608
S 4.5603 3.4691 1.9555
O -1.0012 1.1494 3.1144
O -0.0873 2.3901 0.5092
O 5.4715 4.6888 4.7013
O 6.3853 5.9296 2.0961
```

Principal peaks in the range 10 to 80 degrees two-theta, in order of rising 2θ:
Position (°2θ), I/Imax
26.19, 100
28.42, 88
34.93, 29
36.62, 60
36.76, 31
38.07, 34
47.61, 27
53.50, 28



Record 12
This entry pairs a crystal structure of TmGaAg2O4 with its theoretical PXRD pattern. Radiation: a wavelength of 1.5418 Å. Structure: a crystal structure in OQMD, relaxed with GGA-PBE.
No peak broadening, texture or thermal motion is included.

```
8
Lattice="3.2055 0.0000 0.0000 -1.6028 2.7761 0.0000 0.0000 0.0000 12.5449" Properties=species:S:1:pos:R:3 pbc="T T T"
Tm 0.0000 0.0000 0.0000
Ga 0.0000 0.0000 6.2724
Ag 0.0000 1.8507 9.3153
Ag 1.6028 0.9253 3.2296
O 0.0000 1.8507 7.2145
O 0.0000 1.8507 11.3972
O 1.6028 0.9253 1.1477
O 1.6028 0.9253 5.3304
```

Principal peaks in the range 10 to 80 degrees two-theta, in order of rising 2θ:
Position (°2θ), I/Imax
28.46, 48
33.05, 64
35.36, 100
38.94, 17
48.93, 21
54.98, 35
57.50, 28
65.39, 27



Record 13
This entry pairs a crystal structure of ZrGaAg2O4 with its theoretical PXRD pattern. Radiation: a wavelength of 1.5418 Å. Structure: a crystal structure in OQMD, relaxed with GGA-PBE.
No peak broadening, texture or thermal motion is included.

```
8
Lattice="3.0901 0.0000 0.0000 -1.5451 2.6761 0.0000 0.0000 0.0000 13.0265" Properties=species:S:1:pos:R:3 pbc="T T T"
Zr 0.0000 0.0000 0.0000
Ga 0.0000 0.0000 6.5133
Ag 0.0000 1.7841 9.6312
Ag 1.5451 0.8920 3.3953
O 0.0000 1.7841 7.5018
O 0.0000 1.7841 11.8061
O 1.5451 0.8920 1.2204
O 1.5451 0.8920 5.5247
```

Principal peaks in the range 10 to 80 degrees two-theta, in order of rising 2θ:
Position (°2θ), I/Imax
27.39, 62
34.21, 87
36.29, 100
39.56, 21
48.78, 28
54.42, 42
59.86, 32
67.04, 28